The following is a simulated powder diffraction line list of Pa3Zn7Co4. It was derived from a crystal structure in Alexandria, relaxed with GGA-PBE, using Cu Kα.

Cell and atoms:
Lattice parameters (Å, degrees): 3.864 7.595 8.294 100.59 101.44 98.78
Atoms (fractional coordinates):
Pa: 0.000 0.000 0.000
Pa: 0.006 0.682 0.272
Pa: 0.994 0.318 0.728
Zn: 0.231 0.729 0.693
Zn: 0.277 0.100 0.431
Zn: 0.368 0.660 0.993
Zn: 0.500 0.500 0.500
Zn: 0.632 0.340 0.007
Zn: 0.723 0.900 0.569
Zn: 0.769 0.271 0.307
Co: 0.247 0.435 0.197
Co: 0.340 0.073 0.768
Co: 0.660 0.927 0.232
Co: 0.753 0.565 0.803

Peak list (10 most intense, 10° ≤ 2θ ≤ 80°, most intense first)
2θ/deg	d [Å]	I (rel.)	h k l
36.02	2.493	1000	1 2 -1
36.84	2.440	860	0 3 0
40.03	2.252	799	1 -3 0
38.01	2.367	798	1 1 -3
34.14	2.627	715	1 1 1
35.55	2.525	689	1 -1 2
47.39	1.918	640	-2 1 1
18.22	4.869	587	0 1 1
36.92	2.434	487	0 2 2
23.96	3.714	475	1 0 0